# Sc3Tl3CuSe8
Theoretical powder X-ray diffraction pattern, Cu Kα (λ = 1.5418 Å). Input: a crystal structure in Alexandria, relaxed with GGA-PBE.
Kinematic intensities with the Lorentz-polarization factor, no thermal factor.

Principal peaks in the range 2θ = 10–80°, in order of falling intensity:
2θ (°)	Rel. int.
30.63	100
46.57	35
41.02	32
32.79	26
13.65	22
56.77	17

Structural model:
```
data_Sc3Tl3CuSe8
_cell_length_a 7.800
_cell_length_b 7.800
_cell_length_c 8.950
_cell_angle_alpha 115.84
_cell_angle_beta 115.84
_cell_angle_gamma 60.01
_symmetry_space_group_name_H-M 'P 1'
_symmetry_Int_Tables_number 1
_symmetry_space_group_name_Hall 'P 1'
loop_
_atom_site_label
_atom_site_fract_x
_atom_site_fract_y
_atom_site_fract_z
_atom_site_occupancy
Sc1 0.000 0.000 0.000 1
Sc2 0.000 0.500 0.000 1
Sc3 0.500 0.000 0.000 1
Tl1 0.000 0.500 0.500 1
Tl2 0.500 0.000 0.500 1
Tl3 0.500 0.500 0.500 1
Cu1 0.500 0.500 0.000 1
Se1 0.233 0.233 0.198 1
Se2 0.239 0.724 0.188 1
Se3 0.276 0.761 0.812 1
Se4 0.277 0.277 0.813 1
Se5 0.723 0.723 0.187 1
Se6 0.724 0.239 0.188 1
Se7 0.761 0.276 0.812 1
Se8 0.767 0.767 0.802 1
```